1.
SrCa2HgBr8: calculated powder diffractogram (λ = 1.5418 Å (Cu Kα)), based on the PBE geometry in Alexandria.
Kinematic intensities with the Lorentz-polarization factor, no thermal factor.

Largest 8 diffraction maxima, low angle first, 2θ from 10° to 90°:
| 2θ/deg | intensity | (hkl) |
| --- | --- | --- |
| 18.11 | 406 | 1 0 -1 |
| 18.34 | 374 | 1 0 1 |
| 27.41 | 1000 | 1 2 1 |
| 28.45 | 529 | 1 0 -2 |
| 35.81 | 512 | 2 2 -1 |
| 36.05 | 407 | 2 2 1 |
| 41.07 | 292 | 0 4 0 |
| 43.71 | 511 | 0 2 3 |

Atomic structure:
a b c (Å): 6.7354 8.7916 7.0438
angles (deg): 90.00 90.70 90.00
Space group P2/m (No. 10)
Unique sites:
Sr1 0.0000 0.0000 0.0000 (multiplicity 1)
Ca1 0.5000 0.2578 0.5000 (multiplicity 2)
Hg1 0.0000 0.5000 0.0000 (multiplicity 1)
Br1 0.2395 0.2671 0.1593 (multiplicity 4)
Br2 0.2606 0.5000 0.6578 (multiplicity 2)
Br3 0.2771 0.0000 0.6545 (multiplicity 2)

***

2.
Ca3IBr5: calculated powder diffractogram (λ = 1.5418 Å (Cu Kα)), based on the PBE geometry in Alexandria.
Kinematic intensities with the Lorentz-polarization factor, no thermal factor.

Largest 8 diffraction maxima, low angle first, 2θ from 10° to 90°:
| 2θ/deg | intensity | (hkl) |
| --- | --- | --- |
| 25.60 | 430 | 2 6 0 |
| 26.80 | 998 | 0 6 1 |
| 27.23 | 1000 | 2 0 1 |
| 28.26 | 415 | 1 9 0 |
| 29.09 | 334 | 3 3 0 |
| 34.84 | 344 | 1 9 1 |
| 40.55 | 317 | 0 0 2 |
| 44.02 | 732 | 3 9 1 |

Atomic structure:
a b c (Å): 9.6734 30.0647 4.4493
angles (deg): 90.00 90.00 90.00
Space group Cmmm (No. 65)
Unique sites:
Ca1 0.0000 0.0000 0.0000 (multiplicity 2)
Ca2 0.0000 0.1635 0.5000 (multiplicity 4)
Ca3 0.0000 0.3243 0.0000 (multiplicity 4)
Ca4 0.0000 0.5000 0.5000 (multiplicity 2)
I1 0.0000 0.3965 0.5000 (multiplicity 4)
Br1 0.0000 0.0646 0.5000 (multiplicity 4)
Br2 0.0000 0.2625 0.5000 (multiplicity 4)
Br3 0.1954 0.1680 0.0000 (multiplicity 8)
Br4 0.1971 0.5000 0.0000 (multiplicity 4)

***

3.
Ca3I5Br: calculated powder diffractogram (λ = 1.5418 Å (Cu Kα)), based on the PBE geometry in Alexandria.
Kinematic intensities with the Lorentz-polarization factor, no thermal factor.

Largest 8 diffraction maxima, low angle first, 2θ from 10° to 90°:
| 2θ/deg | intensity | (hkl) |
| --- | --- | --- |
| 24.17 | 528 | 2 6 0 |
| 25.53 | 1000 | 2 0 1 |
| 25.91 | 945 | 0 6 1 |
| 26.71 | 385 | 3 3 0 |
| 27.44 | 332 | 1 9 0 |
| 33.07 | 269 | 3 3 1 |
| 38.83 | 280 | 0 0 2 |
| 41.63 | 653 | 3 9 1 |

Atomic structure:
a b c (Å): 10.5913 30.7408 4.6385
angles (deg): 90.00 90.00 90.00
Space group Cmmm (No. 65)
Unique sites:
Ca1 0.0000 0.0000 0.0000 (multiplicity 2)
Ca2 0.0000 0.1573 0.5000 (multiplicity 4)
Ca3 0.0000 0.3298 0.0000 (multiplicity 4)
Ca4 0.0000 0.5000 0.5000 (multiplicity 2)
I1 0.0000 0.2273 0.0000 (multiplicity 4)
I2 0.0000 0.4326 0.0000 (multiplicity 4)
I3 0.1982 0.0000 0.5000 (multiplicity 4)
I4 0.1999 0.3332 0.5000 (multiplicity 8)
Br1 0.0000 0.0978 0.0000 (multiplicity 4)

***

4.
Ca3In5Br12: calculated powder diffractogram (λ = 1.5418 Å (Cu Kα)), based on the PBE geometry in Alexandria.
Kinematic intensities with the Lorentz-polarization factor, no thermal factor.

Largest 8 diffraction maxima, low angle first, 2θ from 10° to 90°:
| 2θ/deg | intensity | (hkl) |
| --- | --- | --- |
| 27.95 | 478 | 3 1 0 |
| 28.96 | 1000 | 2 1 1 |
| 31.04 | 494 | 4 0 0 |
| 33.91 | 725 | 2 2 1 |
| 39.89 | 199 | 3 2 1 |
| 41.32 | 250 | 0 0 2 |
| 41.47 | 182 | 4 1 1 |
| 50.63 | 178 | 3 1 2 |

Atomic structure:
a b c (Å): 13.2913 13.2913 4.3699
angles (deg): 90.00 90.00 120.00
Space group P-62m (No. 189)
Unique sites:
Ca1 0.0000 0.3232 0.0000 (multiplicity 3)
In1 0.0000 0.7079 0.5000 (multiplicity 3)
In2 0.3333 0.6667 0.5000 (multiplicity 2)
Br1 0.0000 0.1767 0.5000 (multiplicity 3)
Br2 0.0000 0.4668 0.5000 (multiplicity 3)
Br3 0.1962 0.7456 0.0000 (multiplicity 6)